[1]
Simulated XRD peak list
Compound: Na12Bi5Pb2
Radiation: Cu Ka
Structure: a crystal structure in Alexandria, relaxed with PBE
Kinematic intensities with the Lorentz-polarization factor, no thermal factor.

```
data_Na12Bi5Pb2
_symmetry_space_group_name_H-M 'C 1 2/m 1'
_symmetry_Int_Tables_number 12
_symmetry_space_group_name_Hall '-C 2y'
_cell_length_a 17.8971
_cell_length_b 6.7059
_cell_length_c 12.0206
_cell_angle_alpha 90.00
_cell_angle_beta 115.26
_cell_angle_gamma 90.00
loop_
_atom_site_label
_atom_site_type_symbol
_atom_site_fract_x
_atom_site_fract_y
_atom_site_fract_z
Na1 Na 0.0050 0.0000 0.1391
Na2 Na 0.0555 0.5000 0.2873
Na3 Na 0.1659 0.2684 0.0311
Na4 Na 0.2295 0.2483 0.6407
Bi1 Bi 0.0000 0.5000 0.0000
Bi2 Bi 0.1313 0.0000 0.4013
Bi3 Bi 0.1513 0.0000 0.7918
Pb1 Pb 0.0000 0.2272 0.5000
```

Peak list (10 most intense, 2θ = 5–70°, by angle)
| hkl | two_theta | d_spacing | I (rel.) |
| --- | --- | --- | --- |
| 0 0 1 | 8.1 | 10.871 | 55 |
| 1 1 0 | 14.3 | 6.195 | 33 |
| 1 1 -1 | 15.3 | 5.806 | 67 |
| 1 1 -2 | 19.9 | 4.463 | 58 |
| 3 1 0 | 21.1 | 4.209 | 100 |
| 2 0 2 | 23.3 | 3.820 | 57 |
| 1 1 3 | 30.5 | 2.927 | 39 |
| 5 1 -3 | 31.1 | 2.876 | 54 |
| 4 2 -1 | 33.4 | 2.681 | 49 |
| 2 2 -3 | 34.9 | 2.571 | 58 |

[2]
Simulated XRD peak list
Compound: NaPrSm
Radiation: Cu Ka
Structure: a crystal structure in Alexandria, relaxed with PBE
Kinematic intensities with the Lorentz-polarization factor, no thermal factor.

```
data_NaPrSm
_symmetry_space_group_name_H-M 'I 4 m m'
_symmetry_Int_Tables_number 107
_symmetry_space_group_name_Hall 'I 4 -2'
_cell_length_a 3.5831
_cell_length_b 3.5831
_cell_length_c 16.6279
_cell_angle_alpha 90.00
_cell_angle_beta 90.00
_cell_angle_gamma 90.00
loop_
_atom_site_label
_atom_site_type_symbol
_atom_site_fract_x
_atom_site_fract_y
_atom_site_fract_z
Na1 Na 0.0000 0.0000 0.0000
Pr1 Pr 0.0000 0.0000 0.6751
Sm1 Sm 0.0000 0.0000 0.3277
```

Peak list (10 most intense, 2θ = 5–70°, by angle)
| hkl | two_theta | d_spacing | I (rel.) |
| --- | --- | --- | --- |
| 0 0 2 | 10.6 | 8.314 | 55 |
| 1 0 1 | 25.4 | 3.503 | 18 |
| 1 0 3 | 29.7 | 3.009 | 100 |
| 0 0 6 | 32.3 | 2.771 | 19 |
| 1 1 0 | 35.4 | 2.534 | 32 |
| 1 0 5 | 36.9 | 2.438 | 17 |
| 1 1 6 | 48.7 | 1.870 | 24 |
| 1 0 9 | 56.0 | 1.642 | 15 |
| 2 1 3 | 60.1 | 1.539 | 27 |
| 2 0 6 | 61.6 | 1.505 | 12 |